[1]
Computed powder diffractogram of BaYF5 for Cu Kα, from DFT lattice parameters and positions (PBE).
Neutral-atom scattering factors, no anomalous dispersion.

Structure:
```
data_BaYF5
_chemical_formula_sum 'Ba6 Y6 F30'
_cell_length_a 7.445
_cell_length_b 8.667
_cell_length_c 11.377
_cell_angle_alpha 78.55
_cell_angle_beta 87.11
_cell_angle_gamma 75.69
_space_group_name_H-M_alt 'P -1'
_space_group_IT_number 2
loop_
_space_group_symop_operation_xyz
'x,y,z'
'-x,-y,-z'
loop_
_atom_site_label
_atom_site_type_symbol
_atom_site_fract_x
_atom_site_fract_y
_atom_site_fract_z
Ba1 Ba 0.156 0.464 0.235
Ba2 Ba 0.232 0.120 0.573
Ba3 Ba 0.242 0.780 0.903
Y1 Y 0.283 0.951 0.241
Y2 Y 0.294 0.222 0.932
Y3 Y 0.295 0.667 0.513
F1 F 0.005 0.659 0.040
F2 F 0.016 0.633 0.558
F3 F 0.076 0.187 0.222
F4 F 0.151 0.930 0.440
F5 F 0.152 0.729 0.322
F6 F 0.164 0.022 0.050
F7 F 0.183 0.105 0.800
F8 F 0.218 0.443 0.789
F9 F 0.282 0.789 0.665
F10 F 0.365 0.375 0.054
F11 F 0.400 0.444 0.428
F12 F 0.409 0.090 0.351
F13 F 0.418 0.751 0.134
F14 F 0.487 0.767 0.375
F15 F 0.490 0.044 0.106
```

Most intense lines, 2θ from 10° to 80°, by intensity:
2theta	I_rel
24.70	1000
26.99	781
24.27	417
24.91	415
29.74	365
42.48	251
42.20	200
24.43	198
48.49	177
31.90	176

[2]
Computed powder diffractogram of Ca2Zn2CuP3 for Cu Kα, from DFT lattice parameters and positions (PBE).
Neutral-atom scattering factors, no anomalous dispersion.

Structure:
```
data_Ca2Zn2CuP3
_chemical_formula_sum 'Ca4 Zn4 Cu2 P6'
_cell_length_a 4.0443
_cell_length_b 4.0443
_cell_length_c 21.5344
_cell_angle_alpha 90.00
_cell_angle_beta 90.00
_cell_angle_gamma 120.00
_space_group_name_H-M_alt 'P 63/m m c'
_space_group_IT_number 194
_space_group_name_Hall '-P 6c 2c'
loop_
_atom_site_label
_atom_site_type_symbol
_atom_site_fract_x
_atom_site_fract_y
_atom_site_fract_z
Ca1 Ca 0.0000 0.0000 0.1586
Zn1 Zn 0.3333 0.6667 0.0423
Cu1 Cu 0.3333 0.6667 0.7500
P1 P 0.3333 0.6667 0.2500
P2 P 0.3333 0.6667 0.5756
```

Most intense lines, 2θ from 10° to 80°, by intensity:
2theta	I_rel
44.82	1000
30.45	698
35.82	673
38.97	538
63.06	393
16.47	251
41.95	239
26.77	236
28.35	220
25.43	147

[3]
Computed powder diffractogram of NaNdHf2O6 for Cu Kα, from DFT lattice parameters and positions (PBE).
Neutral-atom scattering factors, no anomalous dispersion.

Structure:
```
data_NaNdHf2O6
_chemical_formula_sum 'Na4 Nd4 Hf8 O24'
_cell_length_a 8.197
_cell_length_b 8.197
_cell_length_c 8.197
_cell_angle_alpha 90.00
_cell_angle_beta 90.00
_cell_angle_gamma 90.00
_space_group_name_H-M_alt 'F m -3 m'
_space_group_IT_number 225
_space_group_name_Hall '-F 4 2 3'
loop_
_atom_site_label
_atom_site_type_symbol
_atom_site_fract_x
_atom_site_fract_y
_atom_site_fract_z
Na1 Na 0.000 0.000 0.000
Nd1 Nd 0.000 0.000 0.500
Hf1 Hf 0.250 0.250 0.250
O1 O 0.000 0.250 0.250
```

Most intense lines, 2θ from 10° to 80°, by intensity:
2theta	I_rel
30.85	1000
54.87	409
44.20	298
21.68	240
64.28	185
73.00	177
18.75	138
49.74	103
36.35	79
68.71	48

[4]
Computed powder diffractogram of TbFeC2 for Cu Kα, from DFT lattice parameters and positions (PBE).
Neutral-atom scattering factors, no anomalous dispersion.

Structure:
```
data_TbFeC2
_chemical_formula_sum 'Tb2 Fe2 C4'
_cell_length_a 3.682
_cell_length_b 4.549
_cell_length_c 5.914
_cell_angle_alpha 90.00
_cell_angle_beta 90.00
_cell_angle_gamma 90.00
_space_group_name_H-M_alt 'A m m 2'
_space_group_IT_number 38
loop_
_space_group_symop_operation_xyz
'x,y,z'
'-x,-y,z'
'-x,y,z'
'x,-y,z'
'x,y+1/2,z+1/2'
'-x,-y+1/2,z+1/2'
'-x,y+1/2,z+1/2'
'x,-y+1/2,z+1/2'
loop_
_atom_site_label
_atom_site_type_symbol
_atom_site_fract_x
_atom_site_fract_y
_atom_site_fract_z
Tb1 Tb 0.000 0.000 0.000
Fe1 Fe 0.500 0.000 0.608
C1 C 0.500 0.155 0.293
```

Most intense lines, 2θ from 10° to 80°, by intensity:
2theta	I_rel
34.83	1000
24.69	335
39.07	240
30.22	208
39.63	176
50.45	160
50.63	136
56.87	130
68.82	130
49.51	115

[5]
Computed powder diffractogram of NbCrS5 for Cu Kα, from DFT lattice parameters and positions (PBE).
Neutral-atom scattering factors, no anomalous dispersion.

Structure:
```
data_NbCrS5
_chemical_formula_sum 'Nb2 Cr2 S10'
_cell_length_a 8.897
_cell_length_b 3.405
_cell_length_c 9.974
_cell_angle_alpha 90.00
_cell_angle_beta 115.25
_cell_angle_gamma 90.00
_space_group_name_H-M_alt 'P 1 21/m 1'
_space_group_IT_number 11
loop_
_space_group_symop_operation_xyz
'x,y,z'
'-x,-y,-z'
'-x,y+1/2,-z'
'x,-y+1/2,z'
loop_
_atom_site_label
_atom_site_type_symbol
_atom_site_fract_x
_atom_site_fract_y
_atom_site_fract_z
Nb1 Nb 0.224 0.250 0.138
Cr1 Cr 0.071 0.750 0.400
S1 S 0.013 0.750 0.135
S2 S 0.135 0.750 0.648
S3 S 0.263 0.250 0.410
S4 S 0.341 0.750 0.017
S5 S 0.461 0.750 0.245
```

Most intense lines, 2θ from 10° to 80°, by intensity:
2theta	I_rel
33.13	1000
17.62	639
10.99	451
11.18	331
42.92	321
17.98	267
45.10	265
36.50	262
53.84	171
40.57	129

[6]
Computed powder diffractogram of B6O for Cu Kα, from DFT lattice parameters and positions (PBE).
Neutral-atom scattering factors, no anomalous dispersion.

Structure:
```
data_B6O
_chemical_formula_sum 'B36 O6'
_cell_length_a 5.3935
_cell_length_b 5.3935
_cell_length_c 12.3189
_cell_angle_alpha 90.00
_cell_angle_beta 90.00
_cell_angle_gamma 120.00
_space_group_name_H-M_alt 'R -3 m'
_space_group_IT_number 166
_space_group_name_Hall '-R 3 2"'
loop_
_atom_site_label
_atom_site_type_symbol
_atom_site_fract_x
_atom_site_fract_y
_atom_site_fract_z
B1 B 0.0166 0.5083 0.3071
B2 B 0.1103 0.2206 0.8874
O1 O 0.0000 0.0000 0.3777
```

Most intense lines, 2θ from 10° to 80°, by intensity:
2theta	I_rel
34.90	1000
39.26	670
21.64	573
64.99	223
63.63	148
73.99	134
69.74	121
63.95	109
23.91	103
33.22	93

[7]
Computed powder diffractogram of CaYCd2 for Cu Kα, from DFT lattice parameters and positions (PBE).
Neutral-atom scattering factors, no anomalous dispersion.

Structure:
```
data_CaYCd2
_chemical_formula_sum 'Ca4 Y4 Cd8'
_cell_length_a 7.572
_cell_length_b 7.572
_cell_length_c 7.572
_cell_angle_alpha 90.00
_cell_angle_beta 90.00
_cell_angle_gamma 90.00
_space_group_name_H-M_alt 'F m -3 m'
_space_group_IT_number 225
_space_group_name_Hall '-F 4 2 3'
loop_
_atom_site_label
_atom_site_type_symbol
_atom_site_fract_x
_atom_site_fract_y
_atom_site_fract_z
Ca1 Ca 0.000 0.000 0.000
Y1 Y 0.000 0.000 0.500
Cd1 Cd 0.250 0.250 0.250
```

Most intense lines, 2θ from 10° to 80°, by intensity:
2theta	I_rel
33.47	1000
59.84	349
48.07	174
70.33	106
23.50	85
20.31	41
54.17	35
41.31	27
39.47	23
75.31	16

[8]
Computed powder diffractogram of UPt2Au3 for Cu Kα, from DFT lattice parameters and positions (PBE).
Neutral-atom scattering factors, no anomalous dispersion.

Structure:
```
data_UPt2Au3
_chemical_formula_sum 'U2 Pt4 Au6'
_cell_length_a 5.450
_cell_length_b 5.496
_cell_length_c 7.684
_cell_angle_alpha 90.00
_cell_angle_beta 90.00
_cell_angle_gamma 90.00
_space_group_name_H-M_alt 'I m m 2'
_space_group_IT_number 44
loop_
_space_group_symop_operation_xyz
'x,y,z'
'-x,-y,z'
'-x,y,z'
'x,-y,z'
'x+1/2,y+1/2,z+1/2'
'-x+1/2,-y+1/2,z+1/2'
'-x+1/2,y+1/2,z+1/2'
'x+1/2,-y+1/2,z+1/2'
loop_
_atom_site_label
_atom_site_type_symbol
_atom_site_fract_x
_atom_site_fract_y
_atom_site_fract_z
U1 U 0.000 0.000 0.000
Pt1 Pt 0.000 0.249 0.369
Au1 Au 0.000 0.500 0.744
Au2 Au 0.249 0.000 0.619
```

Most intense lines, 2θ from 10° to 80°, by intensity:
2theta	I_rel
38.73	1000
38.51	642
32.85	476
68.88	473
40.35	389
40.59	353
38.85	333
62.27	255
62.74	174
62.47	160

[9]
Computed powder diffractogram of MoN3Cl6 for Cu Kα, from DFT lattice parameters and positions (PBE).
Neutral-atom scattering factors, no anomalous dispersion.

Structure:
```
data_MoN3Cl6
_chemical_formula_sum 'Mo2 N6 Cl12'
_cell_length_a 8.902
_cell_length_b 8.902
_cell_length_c 7.390
_cell_angle_alpha 90.00
_cell_angle_beta 90.00
_cell_angle_gamma 90.00
_space_group_name_H-M_alt 'P 42/m'
_space_group_IT_number 84
loop_
_space_group_symop_operation_xyz
'x,y,z'
'-x,-y,-z'
'-y,x,z+1/2'
'y,-x,-z+1/2'
'-x,-y,z'
'x,y,-z'
'y,-x,z+1/2'
'-y,x,-z+1/2'
loop_
_atom_site_label
_atom_site_type_symbol
_atom_site_fract_x
_atom_site_fract_y
_atom_site_fract_z
Mo1 Mo 0.000 0.500 0.000
N1 N 0.000 0.000 0.000
N2 N 0.237 0.413 0.500
Cl1 Cl 0.049 0.677 0.221
Cl2 Cl 0.250 0.429 0.000
```

Most intense lines, 2θ from 10° to 80°, by intensity:
2theta	I_rel
15.58	1000
14.07	747
33.08	383
25.41	190
19.95	169
31.79	160
52.20	155
40.27	151
52.44	128
43.68	112